Record 1
Simulated powder X-ray diffraction pattern of PS for Cu Kα, 1.54184 Å, from a crystal structure in Alexandria, relaxed with PBE.
No peak broadening, texture or thermal motion is included.

Principal peaks in the range 2θ = 10–80°, in order of rising 2θ:
- hkl 1 1 -1, 2θ 14.50, rel. 100.0
- hkl 1 1 1, 2θ 16.79, rel. 96.8
- hkl 2 0 0, 2θ 16.90, rel. 35.0
- hkl 0 0 2, 2θ 19.00, rel. 28.8
- hkl 2 2 1, 2θ 28.23, rel. 26.8
- hkl 2 2 -2, 2θ 29.24, rel. 53.2

Cell and atoms:
Unit cell a=10.7597 b=9.6245 c=9.5827 alpha=90.00 beta=102.84 gamma=90.00
Space group C2/c (No. 15)
One atom of each set of equivalent atoms:
P 0.0062 0.2004 0.4200 [8 per cell]
P 0.1402 0.3760 0.3556 [8 per cell]
S 0.0000 0.0578 0.2500 [4 per cell]
S 0.0000 0.4812 0.7500 [4 per cell]
S 0.1756 0.2885 0.1653 [8 per cell]

Record 2
Simulated powder X-ray diffraction pattern of P2S3 for Cu Kα, 1.54184 Å, from a crystal structure in Alexandria, relaxed with PBE.
No peak broadening, texture or thermal motion is included.

Principal peaks in the range 2θ = 10–80°, in order of rising 2θ:
- hkl 0 2 0, 2θ 15.95, rel. 100.0
- hkl 0 1 2, 2θ 18.41, rel. 16.1
- hkl 1 1 0, 2θ 22.17, rel. 22.4
- hkl 1 2 -1, 2θ 24.84, rel. 14.3
- hkl 1 2 1, 2θ 30.01, rel. 24.5
- hkl 1 1 2, 2θ 32.49, rel. 13.5

Cell and atoms:
Unit cell a=4.6906 b=11.1111 c=11.6618 alpha=90.00 beta=113.47 gamma=90.00
Space group P2_1/c (No. 14)
One atom of each set of equivalent atoms:
P 0.0892 0.1927 0.4782 [4 per cell]
P 0.3823 0.1969 0.7718 [4 per cell]
S 0.1695 0.6451 0.5960 [4 per cell]
S 0.2717 0.1397 0.3450 [4 per cell]
S 0.4736 0.2195 0.1235 [4 per cell]

Record 3
Simulated powder X-ray diffraction pattern of P4S5 for Cu Kα, 1.54184 Å, from a crystal structure in Alexandria, relaxed with PBE.
No peak broadening, texture or thermal motion is included.

Principal peaks in the range 2θ = 10–80°, in order of rising 2θ:
- hkl 0 2 0, 2θ 14.51, rel. 100.0
- hkl 0 1 1, 2θ 15.84, rel. 59.4
- hkl 1 1 -1, 2θ 16.68, rel. 60.9
- hkl 2 0 -1, 2θ 26.35, rel. 34.9
- hkl 1 3 -1, 2θ 26.60, rel. 63.1
- hkl 0 1 2, 2θ 29.29, rel. 66.5

Cell and atoms:
Unit cell a=6.7613 b=12.2099 c=7.0819 alpha=90.00 beta=117.28 gamma=90.00
Space group P2_1/m (No. 11)
One atom of each set of equivalent atoms:
P 0.0717 0.1543 0.1501 [4 per cell]
P 0.2137 0.2500 0.6450 [2 per cell]
P 0.3573 0.7500 0.7718 [2 per cell]
S 0.1332 0.7500 0.4385 [2 per cell]
S 0.2605 0.6195 0.9116 [4 per cell]
S 0.2714 0.1194 0.4770 [4 per cell]

Record 4
Simulated powder X-ray diffraction pattern of SbPSeS2 for Cu Kα, 1.54184 Å, from a crystal structure in Alexandria, relaxed with PBE.
No peak broadening, texture or thermal motion is included.

Principal peaks in the range 2θ = 10–80°, in order of rising 2θ:
- hkl 1 0 1, 2θ 24.59, rel. 100.0
- hkl 1 1 0, 2θ 25.87, rel. 41.4
- hkl 0 0 2, 2θ 33.10, rel. 36.1
- hkl 2 0 0, 2θ 36.91, rel. 53.0
- hkl 2 1 1, 2θ 44.85, rel. 40.3
- hkl 2 0 2, 2θ 50.41, rel. 41.6

Cell and atoms:
Unit cell a=4.8707 b=4.8707 c=5.4125 alpha=90.00 beta=90.00 gamma=90.00
Space group P4/mmm (No. 123)
One atom of each set of equivalent atoms:
Sb 0.0000 0.0000 0.0000 [1 per cell]
P 0.0000 0.0000 0.5000 [1 per cell]
Se 0.5000 0.5000 0.5000 [1 per cell]
S 0.0000 0.5000 0.0000 [2 per cell]

Record 5
Simulated powder X-ray diffraction pattern of Sc3P2S for Cu Kα, 1.54184 Å, from a crystal structure in Alexandria, relaxed with PBE.
No peak broadening, texture or thermal motion is included.

Principal peaks in the range 2θ = 10–80°, in order of rising 2θ:
- hkl 1 1 0, 2θ 29.28, rel. 5.8
- hkl 0 2 0, 2θ 33.94, rel. 100.0
- hkl 2 0 0, 2θ 48.75, rel. 64.8
- hkl 2 2 0, 2θ 60.73, rel. 21.2
- hkl 0 4 0, 2θ 71.34, rel. 3.2
- hkl 2 0 6, 2θ 71.46, rel. 6.3

Cell and atoms:
Unit cell a=3.7366 b=5.2884 c=11.1932 alpha=90.00 beta=90.00 gamma=90.00
Space group Immm (No. 71)
One atom of each set of equivalent atoms:
Sc 0.0000 0.0000 0.0000 [2 per cell]
Sc 0.0000 0.0000 0.3292 [4 per cell]
P 0.0000 0.5000 0.3343 [4 per cell]
S 0.0000 0.5000 0.0000 [2 per cell]

Record 6
Simulated powder X-ray diffraction pattern of Sc7PS5 for Cu Kα, 1.54184 Å, from a crystal structure in Alexandria, relaxed with PBE.
No peak broadening, texture or thermal motion is included.

Principal peaks in the range 2θ = 10–80°, in order of rising 2θ:
- hkl 0 2 7, 2θ 32.55, rel. 69.3
- hkl 1 3 2, 2θ 34.23, rel. 100.0
- hkl 1 3 3, 2θ 35.50, rel. 70.9
- hkl 0 2 8, 2θ 36.40, rel. 37.8
- hkl 1 1 9, 2θ 45.82, rel. 32.9
- hkl 2 0 0, 2θ 50.04, rel. 88.9

Cell and atoms:
Unit cell a=3.6469 b=12.0471 c=21.6448 alpha=90.00 beta=90.00 gamma=90.00
Space group Cmc2_1 (No. 36)
One atom of each set of equivalent atoms:
Sc 0.0000 0.0403 0.0000 [4 per cell]
Sc 0.0000 0.1293 0.7150 [4 per cell]
Sc 0.0000 0.1471 0.2910 [4 per cell]
Sc 0.0000 0.3030 0.9314 [4 per cell]
Sc 0.0000 0.3164 0.0723 [4 per cell]
Sc 0.0000 0.3965 0.6301 [4 per cell]
Sc 0.0000 0.4232 0.3603 [4 per cell]
P 0.0000 0.3045 0.5108 [4 per cell]
S 0.0000 0.0424 0.6067 [4 per cell]
S 0.0000 0.0583 0.3976 [4 per cell]
S 0.0000 0.2145 0.8248 [4 per cell]
S 0.0000 0.2312 0.1793 [4 per cell]
S 0.0000 0.4886 0.7495 [4 per cell]

Record 7
Simulated powder X-ray diffraction pattern of Sc3PS for Cu Kα, 1.54184 Å, from a crystal structure in Alexandria, relaxed with PBE.
No peak broadening, texture or thermal motion is included.

Principal peaks in the range 2θ = 10–80°, in order of rising 2θ:
- hkl 3 1 0, 2θ 30.98, rel. 87.7
- hkl 5 1 -1, 2θ 38.19, rel. 96.3
- hkl 0 0 3, 2θ 38.75, rel. 75.1
- hkl 5 1 -2, 2θ 39.03, rel. 100.0
- hkl 3 1 -3, 2θ 41.17, rel. 89.8
- hkl 0 2 0, 2θ 47.22, rel. 72.3

Cell and atoms:
Unit cell a=15.0370 b=3.8495 c=8.0113 alpha=90.00 beta=119.51 gamma=90.00
Space group C2/m (No. 12)
One atom of each set of equivalent atoms:
Sc 0.0465 0.0000 0.3572 [4 per cell]
Sc 0.1552 0.5000 0.9768 [4 per cell]
Sc 0.2367 0.5000 0.6542 [4 per cell]
P 0.1457 0.0000 0.7441 [4 per cell]
S 0.1316 0.5000 0.2841 [4 per cell]

Record 8
Simulated powder X-ray diffraction pattern of Sc5P4S for Cu Kα, 1.54184 Å, from a crystal structure in Alexandria, relaxed with PBE.
No peak broadening, texture or thermal motion is included.

Principal peaks in the range 2θ = 10–80°, in order of rising 2θ:
- hkl 1 2 1, 2θ 29.22, rel. 6.2
- hkl 3 1 0, 2θ 33.86, rel. 100.0
- hkl 3 1 2, 2θ 48.64, rel. 65.0
- hkl 1 2 3, 2θ 57.75, rel. 2.3
- hkl 2 4 2, 2θ 60.58, rel. 21.3
- hkl 0 0 4, 2θ 71.24, rel. 9.6

Cell and atoms:
Unit cell a=8.3707 b=8.3707 c=5.2952 alpha=90.00 beta=90.00 gamma=90.00
Space group I4/m (No. 87)
One atom of each set of equivalent atoms:
Sc 0.0000 0.0000 0.0000 [2 per cell]
Sc 0.1016 0.6966 0.5000 [8 per cell]
P 0.1006 0.7012 0.0000 [8 per cell]
S 0.0000 0.0000 0.5000 [2 per cell]

Record 9
Simulated powder X-ray diffraction pattern of Sc6P2Se3S for Cu Kα, 1.54184 Å, from a crystal structure in Alexandria, relaxed with PBE.
No peak broadening, texture or thermal motion is included.

Principal peaks in the range 2θ = 10–80°, in order of rising 2θ:
- hkl 4 0 1, 2θ 27.64, rel. 11.2
- hkl 1 1 -2, 2θ 33.28, rel. 100.0
- hkl 5 1 -1, 2θ 36.29, rel. 10.3
- hkl 2 0 -4, 2θ 47.45, rel. 32.5
- hkl 0 2 0, 2θ 48.11, rel. 33.7
- hkl 6 2 0, 2θ 59.76, rel. 16.6

Cell and atoms:
Unit cell a=16.6882 b=3.7823 c=7.6599 alpha=90.00 beta=104.37 gamma=90.00
Space group C2/m (No. 12)
One atom of each set of equivalent atoms:
Sc 0.0077 0.0000 0.2391 [4 per cell]
Sc 0.1634 0.5000 0.1007 [4 per cell]
Sc 0.1728 0.5000 0.5694 [4 per cell]
P 0.1666 0.0000 0.3329 [4 per cell]
Se 0.0000 0.5000 0.5000 [2 per cell]
Se 0.1651 0.0000 0.8341 [4 per cell]
S 0.0000 0.5000 0.0000 [2 per cell]

Record 10
Simulated powder X-ray diffraction pattern of Sc8PSe3S3 for Cu Kα, 1.54184 Å, from a crystal structure in Alexandria, relaxed with PBE.
No peak broadening, texture or thermal motion is included.

Principal peaks in the range 2θ = 10–80°, in order of rising 2θ:
- hkl 1 0 1, 2θ 14.49, rel. 9.8
- hkl 0 2 4, 2θ 33.73, rel. 100.0
- hkl 2 0 8, 2θ 48.16, rel. 31.9
- hkl 2 2 0, 2θ 48.74, rel. 33.5
- hkl 4 0 4, 2θ 60.59, rel. 16.3
- hkl 0 4 8, 2θ 70.94, rel. 9.4

Cell and atoms:
Unit cell a=7.4727 b=7.4727 c=18.6201 alpha=90.00 beta=90.00 gamma=120.00
Space group R-3m (No. 166, hexagonal axes)
One atom of each set of equivalent atoms:
Sc 0.0000 0.0000 0.2400 [6 per cell]
Sc 0.0033 0.5017 0.2424 [18 per cell]
P 0.0000 0.0000 0.5000 [3 per cell]
Se 0.0000 0.5000 0.0000 [9 per cell]
S 0.0000 0.5000 0.5000 [9 per cell]

Record 11
Simulated powder X-ray diffraction pattern of Sc4SiPS2 for Cu Kα, 1.54184 Å, from a crystal structure in Alexandria, relaxed with PBE.
No peak broadening, texture or thermal motion is included.

Principal peaks in the range 2θ = 10–80°, in order of rising 2θ:
- hkl 1 1 2, 2θ 29.14, rel. 5.9
- hkl 2 0 0, 2θ 33.77, rel. 100.0
- hkl 2 2 0, 2θ 48.50, rel. 65.1
- hkl 3 1 2, 2θ 57.58, rel. 2.2
- hkl 2 2 4, 2θ 60.40, rel. 21.3
- hkl 4 0 0, 2θ 71.02, rel. 9.6

Cell and atoms:
Unit cell a=5.3071 b=5.3071 c=10.6241 alpha=90.00 beta=90.00 gamma=90.00
Space group I-4m2 (No. 119)
One atom of each set of equivalent atoms:
Sc 0.0000 0.0000 0.2472 [4 per cell]
Sc 0.0000 0.5000 0.0007 [4 per cell]
Si 0.0000 0.5000 0.2500 [2 per cell]
P 0.0000 0.0000 0.0000 [2 per cell]
S 0.0000 0.0000 0.5000 [2 per cell]
S 0.0000 0.5000 0.7500 [2 per cell]

Record 12
Simulated powder X-ray diffraction pattern of ScSnPS2 for Cu Kα, 1.54184 Å, from a crystal structure in Alexandria, relaxed with PBE.
No peak broadening, texture or thermal motion is included.

Principal peaks in the range 2θ = 10–80°, in order of rising 2θ:
- hkl 1 0 1, 2θ 25.41, rel. 100.0
- hkl 1 1 0, 2θ 25.69, rel. 44.9
- hkl 1 1 1, 2θ 31.37, rel. 98.3
- hkl 2 0 0, 2θ 36.65, rel. 73.0
- hkl 2 1 1, 2θ 45.13, rel. 44.1
- hkl 2 0 2, 2θ 52.20, rel. 50.6

Cell and atoms:
Unit cell a=4.9036 b=4.9036 c=5.0113 alpha=90.00 beta=90.00 gamma=90.00
Space group P4/mmm (No. 123)
One atom of each set of equivalent atoms:
Sc 0.0000 0.0000 0.0000 [1 per cell]
Sn 0.5000 0.5000 0.5000 [1 per cell]
P 0.0000 0.0000 0.5000 [1 per cell]
S 0.0000 0.5000 0.0000 [2 per cell]

Record 13
Simulated powder X-ray diffraction pattern of Sc3TePS for Cu Kα, 1.54184 Å, from a crystal structure in Alexandria, relaxed with PBE.
No peak broadening, texture or thermal motion is included.

Principal peaks in the range 2θ = 10–80°, in order of rising 2θ:
- hkl 1 1 -1, 2θ 18.71, rel. 49.1
- hkl 0 4 0, 2θ 26.37, rel. 42.2
- hkl 1 3 1, 2θ 30.36, rel. 100.0
- hkl 2 2 0, 2θ 31.84, rel. 63.2
- hkl 0 2 2, 2θ 31.94, rel. 62.7
- hkl 2 0 -2, 2θ 35.46, rel. 68.9

Cell and atoms:
Unit cell a=6.3966 b=13.5202 c=6.3723 alpha=90.00 beta=104.94 gamma=90.00
Space group C2/c (No. 15)
One atom of each set of equivalent atoms:
Sc 0.0000 0.2501 0.2500 [4 per cell]
Sc 0.2459 0.0617 0.9985 [8 per cell]
Te 0.0000 0.2509 0.7500 [4 per cell]
P 0.0000 0.0647 0.2500 [4 per cell]
S 0.0000 0.4380 0.2500 [4 per cell]